1.
Simulated X-ray powder pattern of Ti3NiP3 for Cu Kα X-rays, from the PBE geometry in Alexandria.
Lines closer than 0.1° are merged.

Largest 10 diffraction maxima, by angle, 2θ = 10–90°:
| 2θ (°) | Rel. int. | h k l |
| --- | --- | --- |
| 34.75 | 29 | 2 1 2 |
| 35.85 | 36 | 3 0 3 |
| 36.05 | 77 | 1 1 3 |
| 37.55 | 26 | 3 1 1 |
| 38.94 | 27 | 4 0 2 |
| 39.29 | 90 | 2 1 3 |
| 41.41 | 53 | 1 0 5 |
| 43.80 | 100 | 4 1 0 |
| 44.99 | 58 | 2 1 4 |
| 51.43 | 61 | 0 2 0 |

Structural model:
abc: 10.164 3.554 11.163
angles: 90.00 90.00 90.00
Space group Pnma (No. 62)
One atom of each set of equivalent atoms:
Ti 0.056 0.250 0.119 [4 per cell]
Ti 0.144 0.750 0.499 [4 per cell]
Ti 0.222 0.750 0.779 [4 per cell]
Ni 0.058 0.250 0.691 [4 per cell]
P 0.056 0.250 0.354 [4 per cell]
P 0.122 0.250 0.903 [4 per cell]
P 0.233 0.750 0.121 [4 per cell]

2.
Simulated X-ray powder pattern of Tm2Ni21P6 for Cu Kα X-rays, from the PBE geometry in Alexandria.
Lines closer than 0.1° are merged.

Largest 10 diffraction maxima, by angle, 2θ = 10–90°:
| 2θ (°) | Rel. int. | h k l |
| --- | --- | --- |
| 15.88 | 13 | 2 0 0 |
| 35.98 | 60 | 4 2 0 |
| 39.55 | 55 | 4 2 2 |
| 42.06 | 100 | 3 3 3 |
| 45.99 | 55 | 4 4 0 |
| 48.23 | 28 | 5 3 1 |
| 54.53 | 34 | 6 2 2 |
| 69.43 | 17 | 6 4 4 |
| 71.74 | 38 | 6 6 0 |
| 85.16 | 26 | 8 4 4 |

Structural model:
abc: 11.163 11.163 11.163
angles: 90.00 90.00 90.00
Space group Fm-3m (No. 225)
One atom of each set of equivalent atoms:
Tm 0.250 0.250 0.250 [8 per cell]
Ni 0.000 0.000 0.000 [4 per cell]
Ni 0.000 0.175 0.175 [48 per cell]
Ni 0.113 0.113 0.387 [32 per cell]
P 0.000 0.000 0.260 [24 per cell]

3.
Simulated X-ray powder pattern of TmNi6P2 for Cu Kα X-rays, from the PBE geometry in Alexandria.
Lines closer than 0.1° are merged.

Largest 10 diffraction maxima, by angle, 2θ = 10–90°:
| 2θ (°) | Rel. int. | h k l |
| --- | --- | --- |
| 26.10 | 21 | 1 0 1 |
| 32.89 | 24 | 1 0 2 |
| 35.37 | 11 | 1 1 1 |
| 40.78 | 100 | 1 1 2 |
| 42.04 | 18 | 1 0 3 |
| 46.43 | 10 | 0 0 4 |
| 47.95 | 46 | 2 0 0 |
| 68.96 | 11 | 2 0 4 |
| 70.16 | 14 | 2 2 0 |
| 84.45 | 22 | 3 1 2 |

Structural model:
abc: 3.794 3.794 7.823
angles: 90.00 90.00 90.00
Space group P4/mmm (No. 123)
One atom of each set of equivalent atoms:
Tm 0.000 0.000 0.000 [1 per cell]
Ni 0.000 0.000 0.500 [1 per cell]
Ni 0.000 0.500 0.291 [4 per cell]
Ni 0.500 0.500 0.500 [1 per cell]
P 0.500 0.500 0.148 [2 per cell]